Starting from DFT lattice parameters and positions (GGA-PBE), the powder X-ray diffraction pattern of Tm3TePSe was computed for Cu Kα.

Cell and atoms:
```
data_Tm3TePSe
_cell_length_a 6.844
_cell_length_b 14.298
_cell_length_c 6.747
_cell_angle_alpha 90.00
_cell_angle_beta 107.38
_cell_angle_gamma 90.00
_symmetry_space_group_name_H-M 'C 1 2/c 1'
_symmetry_Int_Tables_number 15
loop_
_symmetry_equiv_pos_as_xyz
'x,y,z'
'-x,-y,-z'
'-x,y,-z+1/2'
'x,-y,z+1/2'
'x+1/2,y+1/2,z'
'-x+1/2,-y+1/2,-z'
'-x+1/2,y+1/2,-z+1/2'
'x+1/2,-y+1/2,z+1/2'
loop_
_atom_site_label
_atom_site_type_symbol
_atom_site_fract_x
_atom_site_fract_y
_atom_site_fract_z
Tm1 Tm 0.000 0.245 0.250
Tm2 Tm 0.233 0.069 0.998
Te1 Te 0.000 0.252 0.750
P1 P 0.000 0.062 0.250
Se1 Se 0.000 0.439 0.250
```

Main lines, most intense first (10 to 90 degrees two-theta):
h k l	2theta	Rel. int.
2 0 -2	32.7	100
2 2 0	30.1	83
0 2 2	30.5	83
1 3 1	29.0	73
0 6 0	37.8	54
1 3 -1	24.8	51